Diffraction record for Nb4SiB. The powder diffractogram is simulated, not measured: it uses DFT lattice parameters and positions (PBE) and Cu Kα, 1.54184 Å.
No peak broadening, texture or thermal motion is included.

Main lines, in order of rising 2θ (5 to 70 degrees two-theta):
Position (°2θ)	Rel. int.
29.71	12
35.60	22
37.91	100
41.63	8
47.02	15
47.82	15
61.02	7
65.46	19
65.88	6
66.75	14

Crystal structure
abc: 6.0146 6.0146 5.0442
angles: 90.00 90.00 90.00
Element x y z (fractional)
Nb  0.1485  0.3187  0.0000
Nb  0.1485  0.6813  0.5000
Nb  0.3187  0.1485  0.5000
Nb  0.3187  0.8515  0.0000
Nb  0.6813  0.1485  0.0000
Nb  0.6813  0.8515  0.5000
Nb  0.8515  0.3187  0.5000
Nb  0.8515  0.6813  0.0000
Si  0.5000  0.5000  0.2500
Si  0.5000  0.5000  0.7500
B  0.0000  0.0000  0.2500
B  0.0000  0.0000  0.7500

***

Diffraction record for Nb5Si3B. The powder diffractogram is simulated, not measured: it uses DFT lattice parameters and positions (PBE) and Cu Kα, 1.54184 Å.
No peak broadening, texture or thermal motion is included.

Main lines, in order of rising 2θ (5 to 70 degrees two-theta):
Position (°2θ)	Rel. int.
26.84	24
28.72	36
35.76	46
36.48	34
39.71	100
40.74	46
41.40	88
59.48	24
64.46	23
66.42	25

Crystal structure
abc: 7.6717 7.6717 5.3032
angles: 90.00 90.00 120.00
Element x y z (fractional)
Nb  0.0000  0.2467  0.2500
Nb  0.0000  0.7533  0.7500
Nb  0.2467  0.0000  0.2500
Nb  0.2467  0.2467  0.7500
Nb  0.3333  0.6667  0.0000
Nb  0.3333  0.6667  0.5000
Nb  0.6667  0.3333  0.0000
Nb  0.6667  0.3333  0.5000
Nb  0.7533  0.0000  0.7500
Nb  0.7533  0.7533  0.2500
Si  0.0000  0.4019  0.7500
Si  0.0000  0.5981  0.2500
Si  0.4019  0.0000  0.7500
Si  0.4019  0.4019  0.2500
Si  0.5981  0.0000  0.2500
Si  0.5981  0.5981  0.7500
B  0.0000  0.0000  0.0000
B  0.0000  0.0000  0.5000

***

Diffraction record for Sr2NbB. The powder diffractogram is simulated, not measured: it uses DFT lattice parameters and positions (PBE) and Cu Kα, 1.54184 Å.
No peak broadening, texture or thermal motion is included.

Main lines, in order of rising 2θ (5 to 70 degrees two-theta):
Position (°2θ)	Rel. int.
15.95	18
25.34	39
27.24	100
32.21	18
35.70	21
36.14	32
45.84	17
54.46	12
54.87	11
57.13	11

Crystal structure
abc: 8.1557 8.1557 8.1557
angles: 94.08 94.08 149.07
Element x y z (fractional)
Sr  0.3750  0.2005  0.3255
Sr  0.7995  0.1250  0.1745
Sr  0.8750  0.0495  0.6745
Sr  0.9505  0.6250  0.8255
Nb  0.2500  0.7500  0.5000
Nb  0.5000  0.5000  0.0000
B  0.0000  0.0000  0.0000
B  0.7500  0.2500  0.5000

***

Diffraction record for TaNb2B. The powder diffractogram is simulated, not measured: it uses DFT lattice parameters and positions (PBE) and Cu Kα, 1.54184 Å.
No peak broadening, texture or thermal motion is included.

Main lines, in order of rising 2θ (5 to 70 degrees two-theta):
Position (°2θ)	Rel. int.
29.83	37
30.68	26
36.73	100
39.61	89
40.27	25
41.29	37
45.23	18
55.06	16
67.81	28
69.97	16

Crystal structure
abc: 4.9646 4.9646 7.8010
angles: 90.00 90.00 140.74
Element x y z (fractional)
Ta  0.0536  0.9464  0.7500
Ta  0.9464  0.0536  0.2500
Nb  0.3543  0.6457  0.5561
Nb  0.3543  0.6457  0.9439
Nb  0.6457  0.3543  0.0561
Nb  0.6457  0.3543  0.4439
B  0.2393  0.7607  0.2500
B  0.7607  0.2393  0.7500

***

Diffraction record for NbTcB2. The powder diffractogram is simulated, not measured: it uses DFT lattice parameters and positions (PBE) and Cu Kα, 1.54184 Å.
No peak broadening, texture or thermal motion is included.

Main lines, in order of rising 2θ (5 to 70 degrees two-theta):
Position (°2θ)	Rel. int.
24.28	14
27.36	15
29.19	19
33.94	16
38.35	100
40.70	32
41.23	13
41.78	16
42.85	24
51.34	14

Crystal structure
abc: 6.5191 3.0558 8.8668
angles: 90.00 90.00 90.00
Element x y z (fractional)
Nb  0.1313  0.2500  0.1167
Nb  0.3687  0.7500  0.6167
Nb  0.6313  0.2500  0.3833
Nb  0.8687  0.7500  0.8833
Tc  0.0137  0.7500  0.3815
Tc  0.4863  0.2500  0.8815
Tc  0.5137  0.7500  0.1185
Tc  0.9863  0.2500  0.6185
B  0.1563  0.2500  0.8315
B  0.2448  0.7500  0.9185
B  0.2552  0.2500  0.4185
B  0.3437  0.7500  0.3315
B  0.6563  0.2500  0.6685
B  0.7448  0.7500  0.5815
B  0.7552  0.2500  0.0815
B  0.8437  0.7500  0.1685

***

Diffraction record for NbTc2B. The powder diffractogram is simulated, not measured: it uses DFT lattice parameters and positions (PBE) and Cu Kα, 1.54184 Å.
No peak broadening, texture or thermal motion is included.

Main lines, in order of rising 2θ (5 to 70 degrees two-theta):
Position (°2θ)	Rel. int.
33.25	23
37.49	35
39.11	16
40.03	100
40.68	11
44.15	30
46.55	12
52.07	11
61.23	11
69.96	20

Crystal structure
abc: 8.9988 8.9988 4.1022
angles: 90.00 90.00 160.63
Element x y z (fractional)
Nb  0.1175  0.8825  0.7500
Nb  0.8825  0.1175  0.2500
Tc  0.2511  0.7489  0.2500
Tc  0.4644  0.5356  0.7500
Tc  0.5356  0.4644  0.2500
Tc  0.7489  0.2511  0.7500
B  0.3419  0.6581  0.7500
B  0.6581  0.3419  0.2500